# La8Pm3Mg
Computed powder diffraction line list, Cu Kα X-rays. Input: a crystal structure in Alexandria, relaxed with GGA-PBE.
Lines closer than 0.1° are merged.

Crystal structure
abc: 3.7596 11.3797 11.4010
angles: 63.04 80.55 80.50
Fractional coordinates of all 12 atoms:
La  0.0000  0.0000  0.0000
La  0.0008  0.5023  0.4967
La  0.2209  0.5323  0.0263
La  0.3362  0.6543  0.6745
La  0.5414  0.2101  0.7065
La  0.5547  0.6991  0.1916
La  0.6715  0.3262  0.3334
La  0.8862  0.8702  0.3578
Pm  0.2183  0.0309  0.5312
Pm  0.3374  0.1820  0.1458
Pm  0.6672  0.8403  0.8251
Mg  0.8850  0.3656  0.8660

The 8 most intense peaks (15 to 90 degrees two-theta), by intensity:
2θ = 31.47°, d = 2.843 Å, rel. 100
2θ = 31.94°, d = 2.802 Å, rel. 38
2θ = 30.01°, d = 2.977 Å, rel. 35
2θ = 27.57°, d = 3.235 Å, rel. 18
2θ = 28.10°, d = 3.176 Å, rel. 15
2θ = 41.21°, d = 2.191 Å, rel. 12
2θ = 58.03°, d = 1.589 Å, rel. 11
2θ = 54.18°, d = 1.693 Å, rel. 11



# La2PmMg5
Computed powder diffraction line list, Cu Kα X-rays. Input: a crystal structure in Alexandria, relaxed with GGA-PBE.
Lines closer than 0.1° are merged.

Crystal structure
abc: 8.9091 8.9091 8.9091
angles: 145.42 145.42 49.71
Fractional coordinates of all 8 atoms:
La  0.2386  0.2386  0.0000
La  0.7614  0.7614  0.0000
Pm  0.5000  0.5000  0.0000
Mg  0.0000  0.0000  0.0000
Mg  0.1134  0.6134  0.5000
Mg  0.3866  0.8866  0.5000
Mg  0.6134  0.1134  0.5000
Mg  0.8866  0.3866  0.5000

The 8 most intense peaks (15 to 90 degrees two-theta), by intensity:
2θ = 32.60°, d = 2.747 Å, rel. 100
2θ = 33.85°, d = 2.648 Å, rel. 48
2θ = 23.76°, d = 3.745 Å, rel. 46
2θ = 59.77°, d = 1.547 Å, rel. 34
2θ = 21.99°, d = 4.042 Å, rel. 27
2θ = 23.55°, d = 3.777 Å, rel. 26
2θ = 40.73°, d = 2.215 Å, rel. 22
2θ = 48.62°, d = 1.873 Å, rel. 17



# La4Pm3Mg
Computed powder diffraction line list, Cu Kα X-rays. Input: a crystal structure in Alexandria, relaxed with GGA-PBE.
Lines closer than 0.1° are merged.

Crystal structure
abc: 10.4459 7.1873 7.2626
angles: 90.00 90.00 90.00
Fractional coordinates of all 16 atoms:
La  0.0000  0.0002  0.0000
La  0.0000  0.4993  0.5016
La  0.2489  0.7525  0.2509
La  0.2511  0.2475  0.7509
La  0.5000  0.9998  0.5000
La  0.5000  0.5007  0.0016
La  0.7489  0.2475  0.7509
La  0.7511  0.7525  0.2509
Pm  0.0000  0.4996  0.0005
Pm  0.2498  0.2441  0.2509
Pm  0.2502  0.7559  0.7509
Pm  0.5000  0.5004  0.5005
Pm  0.7502  0.2441  0.2509
Pm  0.7498  0.7559  0.7509
Mg  0.0000  0.9999  0.5014
Mg  0.5000  0.0001  0.0014

The 8 most intense peaks (15 to 90 degrees two-theta), by intensity:
2θ = 29.97°, d = 2.981 Å, rel. 100
2θ = 30.19°, d = 2.961 Å, rel. 98
2θ = 35.13°, d = 2.554 Å, rel. 65
2θ = 49.94°, d = 1.826 Å, rel. 48
2θ = 34.34°, d = 2.611 Å, rel. 35
2θ = 59.75°, d = 1.548 Å, rel. 28
2θ = 60.12°, d = 1.539 Å, rel. 28
2θ = 84.44°, d = 1.147 Å, rel. 16



# La12Pm7Mg
Computed powder diffraction line list, Cu Kα X-rays. Input: a crystal structure in Alexandria, relaxed with GGA-PBE.
Lines closer than 0.1° are merged.

Crystal structure
abc: 11.6276 11.6276 11.6276
angles: 116.75 116.75 116.75
Fractional coordinates of all 20 atoms:
La  0.0009  0.4088  0.5931
La  0.0716  0.0718  0.4258
La  0.0718  0.4258  0.0716
La  0.4068  0.9991  0.5912
La  0.4088  0.5931  0.0009
La  0.4258  0.0716  0.0718
La  0.5742  0.9284  0.9282
La  0.5912  0.4069  0.9991
La  0.5931  0.0009  0.4088
La  0.9282  0.5742  0.9284
La  0.9284  0.9282  0.5742
La  0.9991  0.5912  0.4069
Pm  0.0000  0.0000  0.0000
Pm  0.1420  0.3885  0.3884
Pm  0.3884  0.1420  0.3885
Pm  0.3885  0.3884  0.1420
Pm  0.6115  0.6116  0.8580
Pm  0.6116  0.8580  0.6115
Pm  0.8580  0.6115  0.6116
Mg  0.5000  0.5000  0.5000

The 8 most intense peaks (15 to 90 degrees two-theta), by intensity:
2θ = 29.59°, d = 3.019 Å, rel. 100
2θ = 29.94°, d = 2.984 Å, rel. 36
2θ = 27.02°, d = 3.300 Å, rel. 35
2θ = 38.59°, d = 2.333 Å, rel. 29
2θ = 32.61°, d = 2.746 Å, rel. 28
2θ = 32.29°, d = 2.773 Å, rel. 28
2θ = 54.66°, d = 1.679 Å, rel. 28
2θ = 26.64°, d = 3.347 Å, rel. 25



# LaPm2PrMg
Computed powder diffraction line list, Cu Kα X-rays. Input: a crystal structure in Alexandria, relaxed with GGA-PBE.
Lines closer than 0.1° are merged.

Crystal structure
abc: 5.0244 6.2694 11.4532
angles: 90.22 90.02 113.58
Fractional coordinates of all 10 atoms:
La  0.0465  0.0913  0.3464
La  0.9535  0.9087  0.6536
Pm  0.1456  0.2914  0.0459
Pm  0.3458  0.6920  0.4479
Pm  0.6542  0.3080  0.5521
Pm  0.8544  0.7086  0.9541
Pr  0.2528  0.5064  0.7579
Pr  0.7472  0.4936  0.2421
Mg  0.4465  0.8922  0.1386
Mg  0.5535  0.1078  0.8614

The 8 most intense peaks (15 to 90 degrees two-theta), by intensity:
2θ = 30.39°, d = 2.941 Å, rel. 100
2θ = 34.88°, d = 2.572 Å, rel. 17
2θ = 35.07°, d = 2.558 Å, rel. 17
2θ = 35.74°, d = 2.512 Å, rel. 16
2θ = 59.78°, d = 1.547 Å, rel. 14
2θ = 60.93°, d = 1.521 Å, rel. 14
2θ = 60.04°, d = 1.541 Å, rel. 14
2θ = 50.80°, d = 1.797 Å, rel. 12



# LaPm4Pr2Mg
Computed powder diffraction line list, Cu Kα X-rays. Input: a crystal structure in Alexandria, relaxed with GGA-PBE.
Lines closer than 0.1° are merged.

Crystal structure
abc: 7.2411 7.2411 12.6297
angles: 106.80 106.80 59.71
Fractional coordinates of all 16 atoms:
La  0.2500  0.7500  0.0000
La  0.7500  0.2500  0.0000
Pm  0.0000  0.0000  0.2469
Pm  0.0008  0.4994  0.7495
Pm  0.0007  0.4996  0.2499
Pm  0.4994  0.0008  0.7495
Pm  0.4996  0.0007  0.2499
Pm  0.5004  0.5004  0.7530
Pm  0.5011  0.5011  0.2543
Pm  0.9992  0.9992  0.7455
Pr  0.2499  0.2499  0.9997
Pr  0.2500  0.2500  0.4998
Pr  0.2505  0.7496  0.5000
Pr  0.7496  0.2505  0.5000
Mg  0.7500  0.7500  0.9998
Mg  0.7500  0.7500  0.4998

The 8 most intense peaks (15 to 90 degrees two-theta), by intensity:
2θ = 30.25°, d = 2.955 Å, rel. 100
2θ = 35.05°, d = 2.560 Å, rel. 45
2θ = 30.02°, d = 2.977 Å, rel. 34
2θ = 50.19°, d = 1.818 Å, rel. 24
2θ = 59.79°, d = 1.547 Å, rel. 24
2θ = 34.90°, d = 2.571 Å, rel. 23
2θ = 60.05°, d = 1.541 Å, rel. 19
2θ = 50.41°, d = 1.810 Å, rel. 16